Simulated powder diffraction line list of Rb4Tb3CoO8 for Cu Kα, 1.54184 Å, from a DFT-relaxed cell (GGA+U, Alexandria).
Intensities are scaled so that the largest is 100.

Structural model:
Cell lengths 6.9359, 6.9359, 7.6361 Å; angles 116.86, 116.86, 59.23 degrees
Fractional coordinates of all 16 atoms:
Rb (0.0000, 0.0000, 0.0000)
Rb (0.0000, 0.5000, 0.0000)
Rb (0.5000, 0.0000, 0.0000)
Rb (0.5000, 0.5000, 0.0000)
Tb (0.0000, 0.0000, 0.5000)
Tb (0.0000, 0.5000, 0.5000)
Tb (0.5000, 0.0000, 0.5000)
Co (0.5000, 0.5000, 0.5000)
O (0.2240, 0.2240, 0.6776)
O (0.2475, 0.7081, 0.6663)
O (0.2666, 0.2666, 0.3129)
O (0.2919, 0.7525, 0.3337)
O (0.7081, 0.2475, 0.6663)
O (0.7334, 0.7334, 0.6871)
O (0.7525, 0.2919, 0.3337)
O (0.7760, 0.7760, 0.3224)

The 10 most intense peaks (2θ = 10–90°), by angle:
two_theta, d/Å, I_rel
13.57, 6.523, 33
27.34, 3.262, 67
31.11, 2.875, 41
31.35, 2.854, 80
34.83, 2.576, 53
35.33, 2.541, 100
48.05, 1.894, 53
52.80, 1.734, 31
56.37, 1.632, 30
65.41, 1.427, 15